The following is a theoretical powder diffraction line list of SrHo6S8. It was derived from a DFT-relaxed cell (GGA-PBE, Alexandria), using a wavelength of 1.5418 Å.

Cell and atoms:
Cell lengths 11.1891, 11.1891, 12.0994 Å; angles 90.00, 90.00, 120.00 degrees
Space group R-3 (No. 148, hexagonal axes)
Symmetry-distinct sites (fractional):
Sr 0.0000 0.0000 0.0000 [3 per cell]
Ho 0.0073 0.1890 0.3799 [18 per cell]
S 0.0000 0.0000 0.2372 [6 per cell]
S 0.0214 0.2871 0.5903 [18 per cell]

Largest 6 diffraction maxima, sorted by position, 10 to 80 degrees two-theta:
2θ (°)  I/Imax  (hkl)
11.70  100  1 0 1
22.04  31  0 0 3
25.41  71  3 -1 1
28.49  59  3 -2 2
34.18  29  4 -3 1
39.19  42  2 2 3